# Pr7Nd3Mg
Calculated X-ray diffraction stick pattern, Cu Kα X-rays. Input: a crystal structure in Alexandria, relaxed with GGA-PBE.
No peak broadening, texture or thermal motion is included.

Structural model:
a b c (Å): 7.2386 7.2386 8.8628
angles (deg): 90.00 90.00 120.00
Space group P3m1 (No. 156)
Asymmetric unit:
Pr: 0.0000 0.0000 0.0000 x1
Pr: 0.1650 0.3300 0.6662 x3
Pr: 0.5004 0.0009 0.9976 x3
Nd: 0.3313 0.1657 0.3331 x3
Mg: 0.6667 0.3333 0.6692 x1

Peak list (10 most intense, 2θ from 10° to 90°, low angle first)
d = 5.118 Å, 2θ 17.33, I = 11.3, hkl 0 1 1; d = 3.619 Å, 2θ 24.60, I = 9.0, hkl 1 0 2; d = 2.955 Å, 2θ 30.25, I = 100.0, hkl 2 0 1; d = 2.559 Å, 2θ 35.07, I = 50.7, hkl 0 2 2; d = 1.809 Å, 2θ 50.43, I = 35.9, hkl 2 2 0; d = 1.543 Å, 2θ 59.94, I = 42.7, hkl 2 2 3; d = 1.477 Å, 2θ 62.91, I = 12.3, hkl 4 0 2; d = 1.279 Å, 2θ 74.10, I = 5.7, hkl 0 4 4; d = 1.174 Å, 2θ 82.08, I = 17.4, hkl 4 2 1; d = 1.144 Å, 2θ 84.70, I = 16.2, hkl 2 4 2